Calculated XRD peak list
Compound: K3TlPCO7
Radiation: Cu Kα (λ = 1.5418 Å)
Structure: a DFT-relaxed cell (PBE, the Materials Project)

Structural model:
```
K3TlPCO7
1.0
5.760 0.000 0.000
0.000 7.480 0.000
-0.219 0.000 10.167
K Tl P C O
6 2 2 2 14
Cartesian
1.281 1.870 4.252 K
1.282 7.478 7.709 K
1.282 3.742 7.709 K
4.260 0.002 2.459 K
4.260 3.738 2.459 K
4.261 5.610 5.915 K
1.303 5.610 1.317 Tl
4.239 1.870 8.850 Tl
1.677 1.870 0.901 P
3.865 5.610 9.266 P
1.410 5.610 4.422 C
4.132 1.870 5.745 C
0.257 5.610 3.805 O
0.892 1.870 9.621 O
1.209 0.632 1.741 O
1.209 3.108 1.741 O
1.449 5.610 5.721 O
2.300 5.610 9.341 O
2.524 5.610 3.736 O
3.018 1.870 6.432 O
3.242 1.870 0.826 O
4.092 1.870 4.446 O
4.333 4.372 8.426 O
4.333 6.848 8.426 O
4.650 5.610 0.547 O
5.285 1.870 6.362 O
```

Main lines, by angle (2θ from 15° to 90°):
2θ 19.45, rel. 62
2θ 21.14, rel. 73
2θ 23.79, rel. 77
2θ 29.69, rel. 100
2θ 29.91, rel. 70
2θ 31.06, rel. 74
2θ 40.31, rel. 48
2θ 43.03, rel. 50


Calculated XRD peak list
Compound: Ce3AsS3
Radiation: Cu Kα (λ = 1.5418 Å)
Structure: a DFT-relaxed cell (PBE, the Materials Project)

Structural model:
```
Ce3AsS3
1.0
8.628 0.000 0.000
0.000 8.628 0.000
0.000 0.000 8.628
Ce As S
12 4 12
Cartesian
0.013 2.162 3.239 Ce
1.076 8.615 6.476 Ce
2.152 5.390 4.327 Ce
2.162 3.239 0.013 Ce
3.239 0.013 2.162 Ce
4.301 6.466 7.553 Ce
4.327 2.152 5.390 Ce
5.390 4.327 2.152 Ce
6.466 7.553 4.301 Ce
6.476 1.076 8.615 Ce
7.553 4.301 6.466 Ce
8.615 6.476 1.076 Ce
1.499 2.815 5.813 As
2.815 5.813 1.499 As
5.813 1.499 2.815 As
7.129 7.129 7.129 As
0.638 7.990 3.676 S
0.647 0.647 0.647 S
1.511 5.825 7.117 S
2.803 2.803 2.803 S
3.667 7.981 4.961 S
3.676 0.638 7.990 S
4.952 4.952 4.952 S
4.961 3.667 7.981 S
5.825 7.117 1.511 S
7.117 1.511 5.825 S
7.981 4.961 3.667 S
7.990 3.676 0.638 S
```

Main lines, by angle (2θ from 15° to 90°):
2θ 25.28, rel. 74
2θ 32.82, rel. 100
2θ 39.06, rel. 64
2θ 47.10, rel. 36
2θ 49.55, rel. 23
2θ 54.21, rel. 26
2θ 66.84, rel. 35
2θ 82.08, rel. 25


Calculated XRD peak list
Compound: Zr5Sc5Ga6
Radiation: Cu Kα (λ = 1.5418 Å)
Structure: a DFT-relaxed cell (PBE, the Materials Project)

Structural model:
```
Zr5Sc5Ga6
1.0
5.859 0.000 0.000
0.000 6.973 4.050
0.000 -6.973 4.050
Zr Sc Ga
5 5 6
Cartesian
0.000 0.000 0.000 Zr
0.000 -1.643 2.877 Zr
0.000 1.643 2.877 Zr
2.930 -1.658 0.966 Zr
2.930 1.658 0.966 Zr
1.466 -2.330 5.984 Sc
1.466 2.330 5.984 Sc
2.930 0.000 3.867 Sc
4.394 -2.330 5.984 Sc
4.394 2.330 5.984 Sc
0.000 -4.193 4.371 Ga
0.000 0.000 5.165 Ga
0.000 4.193 4.371 Ga
2.930 -2.780 3.532 Ga
2.930 2.780 3.532 Ga
2.930 0.000 6.833 Ga
```

Main lines, by angle (2θ from 15° to 90°):
2θ 30.51, rel. 41
2θ 33.15, rel. 14
2θ 33.97, rel. 20
2θ 37.23, rel. 47
2θ 37.36, rel. 100
2θ 37.95, rel. 60
2θ 38.56, rel. 21
2θ 58.76, rel. 26